Computed powder XRD pattern of Cs5Cl2F3 for λ = 1.5418 Å (Cu Kα), from a GGA-PBE-relaxed structure.
Peak positions follow from Bragg's law for the DFT cell and can differ from measured ones.

Main lines, sorted by position (2θ = 10–90°):
d_spacing, 2θ (°), intensity
3.880, 22.92, 71
3.811, 23.34, 67
3.545, 25.12, 63
3.356, 26.56, 96
3.178, 28.08, 58
3.092, 28.87, 100

```
Cs5Cl2F3
1.0
8.0394 -2.2989 0.0000
8.0394 2.2989 0.0000
-6.5793 0.0000 9.4412
Cs Cl F
5 2 3
Direct
0.0000 0.0000 0.0000 Cs
0.0829 0.0829 0.4134 Cs
0.3091 0.3091 0.1869 Cs
0.6909 0.6909 0.8131 Cs
0.9171 0.9171 0.5866 Cs
0.3291 0.3291 0.7336 Cl
0.6709 0.6709 0.2664 Cl
0.1136 0.1136 0.8730 F
0.5000 0.5000 0.5000 F
0.8864 0.8864 0.1270 F
```


Computed powder XRD pattern of La6TbNd2Sm for λ = 1.5418 Å (Cu Kα), from a GGA-PBE-relaxed structure.
Peak positions follow from Bragg's law for the DFT cell and can differ from measured ones.

Main lines, sorted by position (2θ = 10–90°):
d_spacing, 2θ (°), intensity
3.262, 27.34, 71
3.047, 29.32, 97
2.900, 30.83, 60
2.893, 30.91, 54
2.881, 31.05, 100
2.813, 31.81, 62

```
La6TbNd2Sm
1.0
4.9546 -7.7288 0.0000
4.9546 7.7288 0.0000
-0.0620 0.0000 9.3130
La Tb Nd Sm
12 2 4 2
Direct
0.0322 0.4693 0.6808 La
0.0734 0.7789 0.9059 La
0.2211 0.9266 0.5941 La
0.2781 0.5730 0.0922 La
0.4270 0.7219 0.4078 La
0.4693 0.0322 0.1808 La
0.5307 0.9678 0.8192 La
0.5730 0.2781 0.5922 La
0.7219 0.4270 0.9078 La
0.7789 0.0734 0.4059 La
0.9266 0.2211 0.0941 La
0.9678 0.5307 0.3192 La
0.4318 0.5682 0.7500 Tb
0.5682 0.4318 0.2500 Tb
0.2058 0.2957 0.4359 Nd
0.2957 0.2058 0.9359 Nd
0.7043 0.7942 0.0641 Nd
0.7942 0.7043 0.5641 Nd
0.0708 0.9292 0.2500 Sm
0.9292 0.0708 0.7500 Sm
```


Computed powder XRD pattern of LiSc2TaN4 for λ = 1.5418 Å (Cu Kα), from a GGA-PBE-relaxed structure.
Peak positions follow from Bragg's law for the DFT cell and can differ from measured ones.

Main lines, sorted by position (2θ = 10–90°):
d_spacing, 2θ (°), intensity
3.959, 22.46, 100
2.568, 34.94, 50
2.499, 35.93, 26
2.197, 41.07, 33
1.921, 47.31, 28
1.582, 58.33, 22

```
LiSc2TaN4
1.0
0.0000 4.5580 3.1087
3.1067 0.0000 3.1087
3.1067 4.5580 0.0000
Li Sc Ta N
1 2 1 4
Direct
0.0000 0.0000 0.0000 Li
0.2512 0.2512 0.2488 Sc
0.7512 0.7512 0.7488 Sc
0.5265 0.5265 0.4735 Ta
0.2707 0.7261 0.2739 N
0.4964 0.9835 0.5036 N
0.7261 0.2707 0.7293 N
0.9835 0.4964 0.0165 N
```


Computed powder XRD pattern of Tl4AgPd15 for λ = 1.5418 Å (Cu Kα), from a GGA-PBE-relaxed structure.
Peak positions follow from Bragg's law for the DFT cell and can differ from measured ones.

Main lines, sorted by position (2θ = 10–90°):
d_spacing, 2θ (°), intensity
2.348, 38.33, 100
2.042, 44.35, 33
2.017, 44.94, 16
1.435, 64.98, 20
1.230, 77.61, 25
1.219, 78.45, 11

```
Tl4AgPd15
1.0
4.0848 0.0000 0.0000
0.0000 4.0848 0.0000
0.0000 0.0000 20.1703
Tl Ag Pd
4 1 15
Direct
0.0000 0.0000 0.1010 Tl
0.0000 0.0000 0.3031 Tl
0.0000 0.0000 0.6969 Tl
0.0000 0.0000 0.8990 Tl
0.0000 0.0000 0.5000 Ag
0.0000 0.5000 0.0000 Pd
0.0000 0.5000 0.2031 Pd
0.0000 0.5000 0.4038 Pd
0.0000 0.5000 0.5962 Pd
0.0000 0.5000 0.7969 Pd
0.5000 0.0000 0.0000 Pd
0.5000 0.0000 0.2031 Pd
0.5000 0.0000 0.4038 Pd
0.5000 0.0000 0.5962 Pd
0.5000 0.0000 0.7969 Pd
0.5000 0.5000 0.1020 Pd
0.5000 0.5000 0.3046 Pd
0.5000 0.5000 0.5000 Pd
0.5000 0.5000 0.6954 Pd
0.5000 0.5000 0.8980 Pd
```


Computed powder XRD pattern of Tl5Au4 for λ = 1.5418 Å (Cu Kα), from a GGA-PBE-relaxed structure.
Peak positions follow from Bragg's law for the DFT cell and can differ from measured ones.

Main lines, sorted by position (2θ = 10–90°):
d_spacing, 2θ (°), intensity
2.923, 30.58, 100
2.757, 32.48, 76
2.684, 33.38, 62
2.403, 37.42, 43
2.170, 41.63, 42
2.001, 45.33, 39

```
Tl5Au4
1.0
5.4332 -2.0007 0.0000
5.4332 2.0007 0.0000
-3.5734 0.0000 10.8479
Tl Au
5 4
Direct
0.0000 0.0000 0.0000 Tl
0.1133 0.1133 0.3960 Tl
0.2417 0.2417 0.8174 Tl
0.7583 0.7583 0.1826 Tl
0.8867 0.8867 0.6040 Tl
0.3843 0.3843 0.3953 Au
0.4716 0.4716 0.1826 Au
0.5284 0.5284 0.8174 Au
0.6157 0.6157 0.6047 Au
```